[1]
Diffraction record for LiBeCo4. The X-ray diffraction stick pattern is computed, not measured: it uses DFT lattice parameters and positions (PBE) and Cu Ka.
Lines closer than 0.1° are merged.

Crystal structure
```
6
Lattice="0.0000 3.2836 3.2836 3.2836 0.0000 3.2836 3.2836 3.2836 0.0000" Properties=species:S:1:pos:R:3 pbc="T T T"
Li 0.0000 0.0000 0.0000
Be 1.6418 1.6418 1.6418
Co 4.1026 2.4647 2.4647
Co 2.4647 4.1026 2.4647
Co 2.4647 2.4647 4.1026
Co 4.1026 4.1026 4.1026
```

Top 8 peaks for 2θ from 10° to 90°, in order of rising 2θ:
23.46 deg, intensity 100.0
45.83 deg, intensity 61.1
47.99 deg, intensity 62.4
56.01 deg, intensity 25.9
61.55 deg, intensity 18.2
75.17 deg, intensity 16.6
83.22 deg, intensity 18.0
87.97 deg, intensity 12.4

=====

[2]
Diffraction record for PuAs3PtRh2. The X-ray diffraction stick pattern is computed, not measured: it uses DFT lattice parameters and positions (PBE) and Cu Ka.
Lines closer than 0.1° are merged.

Crystal structure
```
14
Lattice="3.6044 2.0810 6.6377 -3.6044 2.0810 6.6377 0.0000 -4.1620 6.6377" Properties=species:S:1:pos:R:3 pbc="T T T"
Pu 0.0000 0.0000 4.8044
Pu 0.0000 0.0000 15.1088
As 0.0000 -1.7897 8.1974
As -1.5500 0.8949 8.1974
As -1.5500 -0.8949 11.7157
As 1.5500 0.8949 8.1974
As 1.5500 -0.8949 11.7158
As 0.0000 1.7897 11.7158
Pt 0.0000 0.0000 2.0178
Pt 0.0000 0.0000 17.8954
Rh -1.8022 -1.0405 6.6377
Rh -1.8022 1.0405 13.2754
Rh 0.0000 2.0810 6.6377
Rh 0.0000 0.0000 9.9566
```

Top 10 peaks for 2θ from 10° to 90°, in order of rising 2θ:
24.70 deg, intensity 100.0
26.86 deg, intensity 31.1
28.17 deg, intensity 51.3
28.95 deg, intensity 36.4
33.90 deg, intensity 83.9
36.81 deg, intensity 52.8
44.64 deg, intensity 29.8
46.67 deg, intensity 69.4
50.24 deg, intensity 26.0
50.65 deg, intensity 73.7

=====

[3]
Diffraction record for Dy5AlTl4. The X-ray diffraction stick pattern is computed, not measured: it uses DFT lattice parameters and positions (PBE) and Cu Ka.
Lines closer than 0.1° are merged.

Crystal structure
```
10
Lattice="3.6857 0.0000 0.0000 0.0000 3.6857 0.0000 0.0000 0.0000 19.5385" Properties=species:S:1:pos:R:3 pbc="T T T"
Dy 0.0000 0.0000 0.0000
Dy 0.0000 0.0000 4.0249
Dy 0.0000 0.0000 8.0072
Dy 0.0000 0.0000 11.5313
Dy 0.0000 0.0000 15.5136
Al 1.8429 1.8429 9.7692
Tl 1.8429 1.8429 2.0157
Tl 1.8429 1.8429 6.0014
Tl 1.8429 1.8429 13.5371
Tl 1.8429 1.8429 17.5228
```

Top 10 peaks for 2θ from 10° to 90°, in order of rising 2θ:
30.38 deg, intensity 6.5
33.42 deg, intensity 100.0
34.41 deg, intensity 48.2
46.48 deg, intensity 8.9
49.46 deg, intensity 17.5
59.10 deg, intensity 19.5
61.01 deg, intensity 36.0
70.21 deg, intensity 10.5
82.26 deg, intensity 7.8
82.82 deg, intensity 8.1

=====

[4]
Diffraction record for LaMg2As. The X-ray diffraction stick pattern is computed, not measured: it uses DFT lattice parameters and positions (PBE) and Cu Ka.
Lines closer than 0.1° are merged.

Crystal structure
```
4
Lattice="4.3947 0.0000 0.0000 0.0000 4.3947 0.0000 0.0000 0.0000 5.1840" Properties=species:S:1:pos:R:3 pbc="T T T"
La 0.0000 0.0000 0.0000
Mg 0.0000 2.1973 2.5920
Mg 2.1973 0.0000 2.5920
As 2.1973 2.1973 0.0000
```

Top 10 peaks for 2θ from 10° to 90°, in order of rising 2θ:
17.10 deg, intensity 48.8
28.73 deg, intensity 28.2
33.63 deg, intensity 100.0
34.61 deg, intensity 23.1
41.08 deg, intensity 28.6
44.80 deg, intensity 16.8
45.57 deg, intensity 16.0
54.77 deg, intensity 24.4
61.39 deg, intensity 17.1
70.10 deg, intensity 22.9

=====

[5]
Diffraction record for TbPm6Tm6. The X-ray diffraction stick pattern is computed, not measured: it uses DFT lattice parameters and positions (PBE) and Cu Ka.
Lines closer than 0.1° are merged.

Crystal structure
```
13
Lattice="6.6998 0.0000 0.0000 -3.3499 5.8022 0.0000 0.0000 0.0000 11.3563" Properties=species:S:1:pos:R:3 pbc="T T T"
Tb 0.0000 0.0000 0.0000
Pm 0.0000 0.0000 3.8829
Pm 0.0000 0.0000 7.4734
Pm 0.0000 3.8681 0.0000
Pm 0.0000 3.8681 5.6781
Pm 3.3499 1.9341 0.0000
Pm 3.3499 1.9341 5.6781
Tm -1.6749 2.9011 2.7796
Tm -1.6749 2.9011 8.5767
Tm 3.3499 0.0000 2.7796
Tm 3.3499 0.0000 8.5767
Tm 1.6749 2.9011 2.7796
Tm 1.6749 2.9011 8.5767
```

Top 10 peaks for 2θ from 10° to 90°, in order of rising 2θ:
26.61 deg, intensity 31.3
28.15 deg, intensity 25.2
30.82 deg, intensity 58.5
31.00 deg, intensity 78.7
31.51 deg, intensity 32.4
34.72 deg, intensity 100.0
35.19 deg, intensity 27.1
54.81 deg, intensity 36.0
55.79 deg, intensity 29.7
64.61 deg, intensity 25.0

=====

[6]
Diffraction record for SmAg3F6. The X-ray diffraction stick pattern is computed, not measured: it uses DFT lattice parameters and positions (PBE) and Cu Ka.
Lines closer than 0.1° are merged.

Crystal structure
```
10
Lattice="3.8276 -5.8460 0.0000 3.8276 5.8460 0.0000 0.0000 0.0000 3.9495" Properties=species:S:1:pos:R:3 pbc="T T T"
Sm 0.0000 0.0000 0.0000
Ag 1.9138 2.9230 1.9747
Ag 1.9138 -2.9230 1.9747
Ag 3.8276 0.0000 0.0000
F 3.8276 4.5470 1.9747
F 1.9217 1.3732 0.0000
F 1.9217 -1.3732 0.0000
F 5.7335 1.3732 0.0000
F 5.7335 -1.3732 0.0000
F 3.8276 -4.5470 1.9747
```

Top 10 peaks for 2θ from 10° to 90°, in order of rising 2θ:
27.25 deg, intensity 100.0
27.86 deg, intensity 94.0
30.58 deg, intensity 21.2
32.58 deg, intensity 35.4
45.29 deg, intensity 73.1
45.96 deg, intensity 17.7
47.51 deg, intensity 15.9
54.60 deg, intensity 27.5
55.63 deg, intensity 26.1
73.37 deg, intensity 18.9